[1]
PrFeSi: theoretical X-ray powder pattern (Cu Kα (weighted mean of Kα1 and Kα2)), based on DFT lattice parameters and positions (PBE).
No peak broadening, texture or thermal motion is included.

Top 8 peaks for 2θ = 10–80°, in order of rising 2θ:
25.23°, rel. 95
31.07°, rel. 29
33.57°, rel. 100
40.38°, rel. 66
44.52°, rel. 45
51.86°, rel. 29
56.69°, rel. 23
56.88°, rel. 27

Structural model:
```
PrFeSi
1.0
4.070 0.000 0.000
0.000 4.070 0.000
0.000 0.000 7.082
Pr Fe Si
2 2 2
direct
0.250 0.250 0.187 Pr
0.750 0.750 0.813 Pr
0.250 0.750 0.500 Fe
0.750 0.250 0.500 Fe
0.250 0.250 0.658 Si
0.750 0.750 0.342 Si
```

[2]
Pr6Fe13Sn: theoretical X-ray powder pattern (Cu Kα (weighted mean of Kα1 and Kα2)), based on DFT lattice parameters and positions (PBE).
No peak broadening, texture or thermal motion is included.

Top 8 peaks for 2θ = 10–80°, in order of rising 2θ:
27.14°, rel. 88
31.11°, rel. 86
31.66°, rel. 43
34.05°, rel. 40
35.14°, rel. 100
37.61°, rel. 69
42.43°, rel. 54
46.52°, rel. 44

Structural model:
```
Pr6Fe13Sn
1.0
-4.038 4.038 11.871
4.038 -4.038 11.871
4.038 4.038 -11.871
Pr Fe Sn
12 26 2
direct
0.022 0.522 0.173 Pr
0.104 0.104 0.000 Pr
0.152 0.978 0.500 Pr
0.348 0.848 0.827 Pr
0.396 0.396 0.000 Pr
0.478 0.652 0.500 Pr
0.522 0.348 0.500 Pr
0.604 0.604 0.000 Pr
0.652 0.152 0.173 Pr
0.848 0.022 0.500 Pr
0.896 0.896 0.000 Pr
0.978 0.478 0.827 Pr
0.000 0.500 0.500 Fe
0.020 0.295 0.500 Fe
0.067 0.210 0.277 Fe
0.121 0.621 0.857 Fe
0.205 0.480 0.500 Fe
0.210 0.933 0.144 Fe
0.236 0.736 0.857 Fe
0.264 0.121 0.500 Fe
0.290 0.433 0.723 Fe
0.295 0.795 0.275 Fe
0.379 0.236 0.500 Fe
0.433 0.710 0.144 Fe
0.480 0.980 0.275 Fe
0.500 0.000 0.500 Fe
0.520 0.020 0.725 Fe
0.567 0.290 0.856 Fe
0.621 0.764 0.500 Fe
0.705 0.205 0.725 Fe
0.710 0.567 0.277 Fe
0.736 0.879 0.500 Fe
0.764 0.264 0.143 Fe
0.790 0.067 0.856 Fe
0.795 0.520 0.500 Fe
0.879 0.379 0.143 Fe
0.933 0.790 0.723 Fe
0.980 0.705 0.500 Fe
0.250 0.250 0.000 Sn
0.750 0.750 0.000 Sn
```